For Sm3Np2Se6, a DFT-relaxed cell (PBE, Alexandria) gives the computed X-ray powder pattern in this record (Cu Kα X-rays).
Kinematic intensities with the Lorentz-polarization factor, no thermal factor.

Crystal structure
Cell: 4.1626 4.1626 60.8621 Å, 90.00 90.00 120.00°
Space group R-3m (No. 166, hexagonal axes)
Symmetry-distinct sites (fractional):
1 Sm 0.0000 0.0000 0.0000 (multiplicity 3)
2 Sm 0.0000 0.0000 0.2769 (multiplicity 6)
3 Np 0.0000 0.0000 0.4458 (multiplicity 6)
4 Se 0.0000 0.0000 0.0844 (multiplicity 6)
5 Se 0.0000 0.0000 0.1969 (multiplicity 6)
6 Se 0.0000 0.0000 0.3614 (multiplicity 6)

The 6 most intense peaks (15 to 90 degrees two-theta), in order of falling intensity:
- (0 1 11), 2θ = 29.58°, intensity 1000
- (1 1 0), 2θ = 43.48°, intensity 472
- (1 0 25), 2θ = 44.93°, intensity 279
- (0 1 14), 2θ = 32.26°, intensity 209
- (1 1 36), 2θ = 71.96°, intensity 197
- (2 0 11), 2θ = 53.47°, intensity 192

=====

For Ba2NbSe5, a DFT-relaxed cell (PBE, Alexandria) gives the computed X-ray powder pattern in this record (Cu Kα X-rays).
Kinematic intensities with the Lorentz-polarization factor, no thermal factor.

Crystal structure
Cell: 7.435 7.435 9.218 Å, 90.00 90.00 90.00°
Space group I4mm (No. 107)
Symmetry-distinct sites (fractional):
1 Ba 0.000 0.500 0.000 (multiplicity 4)
2 Nb 0.000 0.000 0.199 (multiplicity 2)
3 Se 0.000 0.000 0.944 (multiplicity 2)
4 Se 0.239 0.239 0.254 (multiplicity 8)

The 6 most intense peaks (15 to 90 degrees two-theta), in order of falling intensity:
- (2 0 2), 2θ = 30.90°, intensity 1000
- (2 2 0), 2θ = 34.11°, intensity 683
- (1 1 2), 2θ = 25.70°, intensity 401
- (1 0 1), 2θ = 15.31°, intensity 325
- (4 2 2), 2θ = 59.07°, intensity 295
- (2 2 4), 2θ = 52.83°, intensity 269

=====

For Er5Co2Te2, a DFT-relaxed cell (PBE, Alexandria) gives the computed X-ray powder pattern in this record (Cu Kα X-rays).
Kinematic intensities with the Lorentz-polarization factor, no thermal factor.

Crystal structure
Cell: 3.905 14.952 14.938 Å, 90.00 90.00 90.00°
Space group Cmcm (No. 63)
Symmetry-distinct sites (fractional):
1 Er 0.000 0.038 0.127 (multiplicity 8)
2 Er 0.000 0.259 0.631 (multiplicity 8)
3 Er 0.000 0.393 0.250 (multiplicity 4)
4 Co 0.000 0.180 0.250 (multiplicity 4)
5 Co 0.000 0.412 0.750 (multiplicity 4)
6 Te 0.000 0.382 0.038 (multiplicity 8)

The 6 most intense peaks (15 to 90 degrees two-theta), in order of falling intensity:
- (1 3 1), 2θ = 29.67°, intensity 1000
- (0 4 4), 2θ = 33.93°, intensity 861
- (1 1 4), 2θ = 33.75°, intensity 778
- (1 1 5), 2θ = 38.41°, intensity 461
- (1 3 0), 2θ = 29.05°, intensity 401
- (1 3 3), 2θ = 34.28°, intensity 397

=====

For Pr4HgSb, a DFT-relaxed cell (PBE, Alexandria) gives the computed X-ray powder pattern in this record (Cu Kα X-rays).
Kinematic intensities with the Lorentz-polarization factor, no thermal factor.

Crystal structure
Cell: 4.102 4.102 11.024 Å, 90.00 90.00 90.00°
Space group P4/mmm (No. 123)
Symmetry-distinct sites (fractional):
1 Pr 0.000 0.000 0.146 (multiplicity 2)
2 Pr 0.500 0.500 0.342 (multiplicity 2)
3 Hg 0.000 0.000 0.500 (multiplicity 1)
4 Sb 0.500 0.500 0.000 (multiplicity 1)

The 6 most intense peaks (15 to 90 degrees two-theta), in order of falling intensity:
- (1 0 3), 2θ = 32.72°, intensity 1000
- (1 1 0), 2θ = 30.83°, intensity 619
- (2 1 3), 2θ = 56.03°, intensity 433
- (2 0 0), 2θ = 44.16°, intensity 231
- (1 1 6), 2θ = 59.56°, intensity 152
- (3 1 0), 2θ = 72.92°, intensity 104

=====

For AcS5Cl, a DFT-relaxed cell (PBE, Alexandria) gives the computed X-ray powder pattern in this record (Cu Kα X-rays).
Kinematic intensities with the Lorentz-polarization factor, no thermal factor.

Crystal structure
Cell: 5.146 22.034 4.549 Å, 90.00 119.03 90.00°
Space group C2 (No. 5)
Symmetry-distinct sites (fractional):
1 Ac 0.000 0.000 0.000 (multiplicity 2)
2 S 0.000 0.723 0.000 (multiplicity 2)
3 S 0.073 0.439 0.317 (multiplicity 4)
4 S 0.157 0.780 0.418 (multiplicity 4)
5 Cl 0.000 0.086 0.500 (multiplicity 2)

The 6 most intense peaks (15 to 90 degrees two-theta), in order of falling intensity:
- (0 4 0), 2θ = 16.09°, intensity 1000
- (1 3 0), 2θ = 23.18°, intensity 664
- (1 1 0), 2θ = 20.14°, intensity 577
- (2 4 -1), 2θ = 38.77°, intensity 541
- (1 3 -1), 2θ = 24.69°, intensity 535
- (0 2 1), 2θ = 23.79°, intensity 429

=====

For GaAg2Br5, a DFT-relaxed cell (PBE, Alexandria) gives the computed X-ray powder pattern in this record (Cu Kα X-rays).
Kinematic intensities with the Lorentz-polarization factor, no thermal factor.

Crystal structure
Cell: 10.923 10.844 9.972 Å, 90.00 118.63 90.00°
Space group C2/c (No. 15)
Symmetry-distinct sites (fractional):
1 Ga 0.000 0.096 0.250 (multiplicity 4)
2 Ag 0.000 0.500 0.000 (multiplicity 4)
3 Ag 0.250 0.250 0.000 (multiplicity 4)
4 Br 0.000 0.394 0.750 (multiplicity 4)
5 Br 0.007 0.218 0.449 (multiplicity 8)
6 Br 0.199 0.036 0.831 (multiplicity 8)

The 6 most intense peaks (15 to 90 degrees two-theta), in order of falling intensity:
- (1 1 -2), 2θ = 19.60°, intensity 1000
- (4 0 0), 2θ = 37.54°, intensity 854
- (2 0 0), 2θ = 18.55°, intensity 828
- (0 4 2), 2θ = 39.12°, intensity 772
- (1 3 -2), 2θ = 30.55°, intensity 614
- (0 2 2), 2θ = 26.17°, intensity 517

=====

For NaSbBr5, a DFT-relaxed cell (PBE, Alexandria) gives the computed X-ray powder pattern in this record (Cu Kα X-rays).
Kinematic intensities with the Lorentz-polarization factor, no thermal factor.

Crystal structure
Cell: 7.513 13.965 10.854 Å, 90.00 110.49 90.00°
Space group P2_1/c (No. 14)
Symmetry-distinct sites (fractional):
1 Na 0.191 0.000 0.385 (multiplicity 4)
2 Sb 0.402 0.001 0.799 (multiplicity 4)
3 Br 0.117 0.118 0.796 (multiplicity 4)
4 Br 0.156 0.613 0.120 (multiplicity 4)
5 Br 0.313 0.115 0.200 (multiplicity 4)
6 Br 0.343 0.614 0.499 (multiplicity 4)
7 Br 0.467 0.112 0.619 (multiplicity 4)

The 6 most intense peaks (15 to 90 degrees two-theta), in order of falling intensity:
- (1 2 -3), 2θ = 28.00°, intensity 1000
- (1 3 2), 2θ = 31.55°, intensity 733
- (2 2 -1), 2θ = 26.95°, intensity 671
- (1 1 2), 2θ = 25.75°, intensity 490
- (2 3 -1), 2θ = 30.58°, intensity 444
- (1 4 2), 2θ = 35.97°, intensity 375

=====

For HoGa2CuPd4, a DFT-relaxed cell (PBE, Alexandria) gives the computed X-ray powder pattern in this record (Cu Kα X-rays).
Kinematic intensities with the Lorentz-polarization factor, no thermal factor.

Crystal structure
Cell: 4.3916 4.3916 23.5805 Å, 90.00 90.00 120.00°
Space group R-3m (No. 166, hexagonal axes)
Symmetry-distinct sites (fractional):
1 Ho 0.0000 0.0000 0.0000 (multiplicity 3)
2 Ga 0.0000 0.0000 0.2417 (multiplicity 6)
3 Cu 0.0000 0.0000 0.5000 (multiplicity 3)
4 Pd 0.0000 0.0000 0.1272 (multiplicity 6)
5 Pd 0.0000 0.0000 0.3933 (multiplicity 6)

The 6 most intense peaks (15 to 90 degrees two-theta), in order of falling intensity:
- (1 1 0), 2θ = 41.11°, intensity 1000
- (0 1 8), 2θ = 38.65°, intensity 919
- (2 0 8), 2θ = 57.69°, intensity 279
- (1 2 8), 2θ = 73.26°, intensity 269
- (3 0 0), 2θ = 74.90°, intensity 164
- (0 1 5), 2θ = 30.19°, intensity 142

=====

For MgAlCu2, a DFT-relaxed cell (PBE, Alexandria) gives the computed X-ray powder pattern in this record (Cu Kα X-rays).
Kinematic intensities with the Lorentz-polarization factor, no thermal factor.

Crystal structure
Cell: 2.854 4.172 5.136 Å, 90.00 105.76 90.00°
Space group Pm (No. 6)
Symmetry-distinct sites (fractional):
1 Mg 0.000 0.000 0.000 (multiplicity 1)
2 Al 0.683 0.500 0.360 (multiplicity 1)
3 Cu 0.269 0.000 0.528 (multiplicity 1)
4 Cu 0.407 0.500 0.812 (multiplicity 1)

The 6 most intense peaks (15 to 90 degrees two-theta), in order of falling intensity:
- (0 1 2), 2θ = 42.52°, intensity 1000
- (1 1 -1), 2θ = 39.33°, intensity 885
- (0 0 1), 2θ = 17.95°, intensity 611
- (1 1 1), 2θ = 47.32°, intensity 565
- (0 2 0), 2θ = 43.38°, intensity 557
- (1 1 -2), 2θ = 47.57°, intensity 458

=====

For PaO2F, a DFT-relaxed cell (PBE, Alexandria) gives the computed X-ray powder pattern in this record (Cu Kα X-rays).
Kinematic intensities with the Lorentz-polarization factor, no thermal factor.

Crystal structure
Cell: 4.0053 4.0053 4.1923 Å, 90.00 90.00 120.00°
Space group P3m1 (No. 156)
Symmetry-distinct sites (fractional):
1 Pa 0.0000 0.0000 0.0000 (multiplicity 1)
2 O 0.0000 0.0000 0.4974 (multiplicity 1)
3 O 0.6667 0.3333 0.0644 (multiplicity 1)
4 F 0.3333 0.6667 0.8551 (multiplicity 1)

The 6 most intense peaks (15 to 90 degrees two-theta), in order of falling intensity:
- (1 0 0), 2θ = 25.68°, intensity 1000
- (1 0 1), 2θ = 33.53°, intensity 778
- (0 0 1), 2θ = 21.19°, intensity 592
- (1 0 2), 2θ = 50.90°, intensity 367
- (1 1 1), 2θ = 50.51°, intensity 365
- (1 1 0), 2θ = 45.28°, intensity 338

=====

For La2SIF2, a DFT-relaxed cell (PBE, Alexandria) gives the computed X-ray powder pattern in this record (Cu Kα X-rays).
Kinematic intensities with the Lorentz-polarization factor, no thermal factor.

Crystal structure
Cell: 4.1984 4.1984 8.9463 Å, 90.00 90.00 120.00°
Space group P-3m1 (No. 164)
Symmetry-distinct sites (fractional):
1 La 0.3333 0.6667 0.2023 (multiplicity 2)
2 S 0.0000 0.0000 0.0000 (multiplicity 1)
3 I 0.0000 0.0000 0.5000 (multiplicity 1)
4 F 0.3333 0.6667 0.7603 (multiplicity 2)

The 6 most intense peaks (15 to 90 degrees two-theta), in order of falling intensity:
- (0 1 2), 2θ = 31.71°, intensity 1000
- (1 0 1), 2θ = 26.46°, intensity 845
- (1 1 0), 2θ = 43.09°, intensity 460
- (1 1 3), 2θ = 53.37°, intensity 222
- (2 0 2), 2θ = 54.48°, intensity 207
- (0 0 3), 2θ = 29.96°, intensity 186

=====

For Ba5Na2Ag, a DFT-relaxed cell (PBE, Alexandria) gives the computed X-ray powder pattern in this record (Cu Kα X-rays).
Kinematic intensities with the Lorentz-polarization factor, no thermal factor.

Crystal structure
Cell: 4.593 14.326 24.636 Å, 90.00 90.00 90.00°
Space group Cmcm (No. 63)
Symmetry-distinct sites (fractional):
1 Ba 0.000 0.007 0.250 (multiplicity 4)
2 Ba 0.000 0.138 0.042 (multiplicity 8)
3 Ba 0.000 0.410 0.114 (multiplicity 8)
4 Na 0.000 0.288 0.678 (multiplicity 8)
5 Ag 0.000 0.323 0.250 (multiplicity 4)

The 6 most intense peaks (15 to 90 degrees two-theta), in order of falling intensity:
- (1 3 2), 2θ = 27.91°, intensity 1000
- (1 1 4), 2θ = 24.97°, intensity 1000
- (0 2 7), 2θ = 28.25°, intensity 786
- (0 4 3), 2θ = 27.17°, intensity 620
- (1 3 3), 2θ = 29.07°, intensity 512
- (1 1 1), 2θ = 20.63°, intensity 449

=====

For La4Ru3, a DFT-relaxed cell (PBE, Alexandria) gives the computed X-ray powder pattern in this record (Cu Kα X-rays).
Kinematic intensities with the Lorentz-polarization factor, no thermal factor.

Crystal structure
Cell: 3.879 3.879 24.581 Å, 90.00 90.00 90.00°
Space group I4/mmm (No. 139)
Symmetry-distinct sites (fractional):
1 La 0.000 0.000 0.067 (multiplicity 4)
2 La 0.000 0.000 0.307 (multiplicity 4)
3 Ru 0.000 0.000 0.174 (multiplicity 4)
4 Ru 0.000 0.000 0.500 (multiplicity 2)

The 6 most intense peaks (15 to 90 degrees two-theta), in order of falling intensity:
- (1 1 0), 2θ = 32.65°, intensity 1000
- (1 0 5), 2θ = 29.33°, intensity 495
- (1 1 8), 2θ = 44.26°, intensity 419
- (2 0 0), 2θ = 46.85°, intensity 384
- (1 0 9), 2θ = 40.39°, intensity 359
- (0 0 8), 2θ = 29.06°, intensity 315